Starting from a structure optimized by DFT (GGA-PBE), the powder X-ray diffraction pattern of CdGe2Br6 was simulated for copper Kα.
Intensities are scaled so that the largest is 1000.

Largest 12 diffraction maxima, by angle, 2θ = 10–80°:
two_theta	I/Imax
11.0	867
13.6	868
14.6	570
20.7	238
22.0	207
27.1	286
29.5	1000
34.0	393
40.7	228
41.0	198
41.5	259
46.7	228

Structural model:
```
data_CdGe2Br6
_cell_length_a 26.520
_cell_length_b 8.440
_cell_length_c 7.075
_cell_angle_alpha 90.00
_cell_angle_beta 101.00
_cell_angle_gamma 90.00
_symmetry_space_group_name_H-M 'C 1 2/c 1'
_symmetry_Int_Tables_number 15
loop_
_symmetry_equiv_pos_as_xyz
'x,y,z'
'-x,-y,-z'
'-x,y,-z+1/2'
'x,-y,z+1/2'
'x+1/2,y+1/2,z'
'-x+1/2,-y+1/2,-z'
'-x+1/2,y+1/2,-z+1/2'
'x+1/2,-y+1/2,z+1/2'
loop_
_atom_site_label
_atom_site_fract_x
_atom_site_fract_y
_atom_site_fract_z
Cd1 0.000 0.000 0.250
Ge1 0.248 0.378 0.231
Br1 0.053 0.168 0.538
Br2 0.187 0.155 0.057
Br3 0.191 0.399 0.525
```